[1]
Theoretical powder X-ray diffraction pattern of ScH8Rh4 for copper Kα, from the GGA-PBE geometry in Alexandria.
Intensities are scaled so that the largest is 100.

Cell: 9.5553 5.7100 5.5684 Å, 90.00 123.28 90.00°
Space group C2/m (No. 12)
Unique sites:
Sc 0.0000 0.0000 0.0000 [2 per cell]
H 0.0181 0.2600 0.7215 [8 per cell]
H 0.2214 0.5000 0.7574 [4 per cell]
H 0.2300 0.0000 0.7696 [4 per cell]
Rh 0.0000 0.0000 0.5000 [2 per cell]
Rh 0.0000 0.5000 0.5000 [2 per cell]
Rh 0.2500 0.2500 0.0000 [4 per cell]

Peak list (10 most intense, 2θ from 10° to 90°, sorted by position)
2θ (°)	intensity
19.8	100
36.8	20
36.9	39
38.7	75
40.3	23
45.4	17
45.5	34
50.1	24
67.3	15
68.9	12



[2]
Theoretical powder X-ray diffraction pattern of TbSc2Cr2C4 for copper Kα, from the GGA-PBE geometry in Alexandria.
Intensities are scaled so that the largest is 100.

Cell: 12.9430 3.1720 5.6822 Å, 90.00 112.83 90.00°
Space group C2/m (No. 12)
Unique sites:
Tb 0.0000 0.0000 0.0000 [2 per cell]
Sc 0.1506 0.0000 0.5411 [4 per cell]
Cr 0.1745 0.5000 0.9737 [4 per cell]
C 0.0221 0.5000 0.6349 [4 per cell]
C 0.2212 0.0000 0.2168 [4 per cell]

Peak list (10 most intense, 2θ from 10° to 90°, sorted by position)
2θ (°)	intensity
16.9	66
28.1	26
29.1	27
34.2	43
36.1	100
43.1	23
44.0	58
45.3	25
45.6	21
56.7	17



[3]
Theoretical powder X-ray diffraction pattern of AcPr2PtO5 for copper Kα, from the GGA-PBE geometry in Alexandria.
Intensities are scaled so that the largest is 100.

Cell: 6.7672 6.7672 6.1021 Å, 90.00 90.00 90.00°
Space group P4/mbm (No. 127)
Unique sites:
Ac 0.0000 0.0000 0.0000 [2 per cell]
Pr 0.1656 0.3344 0.5000 [4 per cell]
Pt 0.0000 0.5000 0.0000 [2 per cell]
O 0.0000 0.0000 0.5000 [2 per cell]
O 0.1591 0.6591 0.2476 [8 per cell]

Peak list (10 most intense, 2θ from 10° to 90°, sorted by position)
2θ (°)	intensity
29.3	40
30.2	100
33.0	26
37.6	25
39.8	17
40.5	17
42.1	20
48.3	23
52.5	22
56.4	18